Entry 1:
For Ac2La3Nd, a PBE-relaxed structure gives the theoretical XRD peak list in this record (CuKα).

Structural model:
a = 7.3598 Å, b = 10.5319 Å, c = 6.0701 Å
α = 90.00°, β = 90.00°, γ = 90.00°
Space group Pnnm (No. 58)
One atom of each set of equivalent atoms:
Ac: 0.2492 0.1670 0.0000 x4
La: 0.0000 0.5000 0.0000 x2
La: 0.2501 0.3337 0.5000 x4
Nd: 0.0000 0.0000 0.5000 x2

Top 10 peaks for 2θ = 15–90°, most intense first:
2θ = 29.40°, intensity 100, (0 3 1); 2θ = 29.62°, intensity 81, (2 2 0); 2θ = 52.29°, intensity 33, (2 5 1); 2θ = 42.23°, intensity 31, (2 2 2); 2θ = 58.66°, intensity 29, (4 3 1); 2θ = 52.15°, intensity 21, (0 6 0); 2θ = 38.43°, intensity 19, (2 3 1); 2θ = 74.78°, intensity 14, (4 6 0); 2θ = 61.00°, intensity 13, (0 6 2); 2θ = 24.19°, intensity 10, (2 0 0)

=====

Entry 2:
For Ac3La3Nd4, a PBE-relaxed structure gives the theoretical XRD peak list in this record (CuKα).

Structural model:
a = 3.8846 Å, b = 14.1408 Å, c = 14.3245 Å
α = 90.00°, β = 90.00°, γ = 90.00°
Space group Amm2 (No. 38)
One atom of each set of equivalent atoms:
Ac: 0.0000 0.0000 0.0000 x2
Ac: 0.5000 0.2495 0.0770 x4
La: 0.0000 0.0000 0.6504 x2
La: 0.0000 0.1744 0.3292 x4
Nd: 0.5000 0.0000 0.2088 x2
Nd: 0.5000 0.0000 0.4529 x2
Nd: 0.5000 0.1249 0.8196 x4

Top 10 peaks for 2θ = 15–90°, most intense first:
2θ = 30.33°, intensity 100, (1 1 3); 2θ = 29.04°, intensity 99, (1 2 2); 2θ = 30.47°, intensity 94, (1 3 1); 2θ = 28.15°, intensity 82, (0 4 2); 2θ = 27.93°, intensity 82, (0 2 4); 2θ = 46.78°, intensity 34, (2 0 0); 2θ = 51.86°, intensity 30, (1 4 6); 2θ = 54.71°, intensity 29, (0 6 6); 2θ = 55.36°, intensity 28, (2 2 4); 2θ = 25.19°, intensity 26, (0 4 0)

=====

Entry 3:
For Ac8La3Nd, a PBE-relaxed structure gives the theoretical XRD peak list in this record (CuKα).

Structural model:
a = 7.3471 Å, b = 11.8373 Å, c = 12.6962 Å
α = 90.00°, β = 90.00°, γ = 90.00°
Space group Immm (No. 71)
One atom of each set of equivalent atoms:
Ac: 0.0000 0.1619 0.2495 x8
Ac: 0.2415 0.2596 0.0000 x8
La: 0.0000 0.0000 0.0000 x2
La: 0.0000 0.5000 0.2311 x4
Nd: 0.0000 0.0000 0.5000 x2

Top 10 peaks for 2θ = 15–90°, most intense first:
2θ = 28.09°, intensity 100, (0 0 4); 2θ = 29.29°, intensity 66, (1 3 2); 2θ = 31.96°, intensity 49, (2 2 2); 2θ = 33.41°, intensity 22, (0 4 2); 2θ = 60.75°, intensity 21, (2 6 4); 2θ = 52.64°, intensity 21, (2 6 0); 2θ = 28.60°, intensity 19, (2 2 0); 2θ = 45.89°, intensity 19, (3 3 2); 2θ = 25.63°, intensity 16, (1 3 0); 2θ = 40.53°, intensity 14, (2 2 4)

=====

Entry 4:
For Ac6La5Nd2, a PBE-relaxed structure gives the theoretical XRD peak list in this record (CuKα).

Structural model:
a = 11.5973 Å, b = 24.1825 Å, c = 3.8056 Å
α = 90.00°, β = 90.00°, γ = 90.00°
Space group Pbam (No. 55)
One atom of each set of equivalent atoms:
Ac: 0.0221 0.1116 0.0000 x4
Ac: 0.1424 0.3841 0.0000 x4
Ac: 0.1659 0.6343 0.5000 x4
La: 0.0000 0.5000 0.5000 x2
La: 0.0845 0.2480 0.5000 x4
La: 0.1672 0.9964 0.5000 x4
Nd: 0.1655 0.7697 0.0000 x4

Top 10 peaks for 2θ = 15–90°, most intense first:
2θ = 29.57°, intensity 100, (0 8 0); 2θ = 30.19°, intensity 66, (2 3 1); 2θ = 25.56°, intensity 41, (3 3 0); 2θ = 25.72°, intensity 34, (1 2 1); 2θ = 33.72°, intensity 34, (2 5 1); 2θ = 57.22°, intensity 32, (0 8 2); 2θ = 31.78°, intensity 26, (2 4 1); 2θ = 33.26°, intensity 24, (3 1 1); 2θ = 27.70°, intensity 20, (0 4 1); 2θ = 46.46°, intensity 18, (5 2 1)

=====

Entry 5:
For Ac3La2Nd, a PBE-relaxed structure gives the theoretical XRD peak list in this record (CuKα).

Structural model:
a = 9.1324 Å, b = 3.9383 Å, c = 13.7065 Å
α = 90.00°, β = 90.10°, γ = 90.00°
Space group P2_1/m (No. 11)
One atom of each set of equivalent atoms:
Ac: 0.0885 0.2500 0.3905 x2
Ac: 0.3376 0.7500 0.9465 x2
Ac: 0.3976 0.7500 0.2490 x2
La: 0.0819 0.2500 0.1108 x2
La: 0.3531 0.7500 0.5548 x2
Nd: 0.1899 0.2500 0.7452 x2

Top 10 peaks for 2θ = 15–90°, most intense first:
2θ = 29.96°, intensity 100, (0 1 3); 2θ = 27.62°, intensity 49, (2 0 3); 2θ = 46.07°, intensity 23, (0 2 0); 2θ = 50.33°, intensity 18, (2 1 6); 2θ = 27.81°, intensity 15, (1 0 -4); 2θ = 30.07°, intensity 12, (3 0 -1); 2θ = 25.47°, intensity 12, (1 1 -1); 2θ = 39.46°, intensity 12, (0 0 6); 2θ = 54.62°, intensity 11, (2 2 3); 2θ = 75.33°, intensity 9, (0 3 3)

=====

Entry 6:
For Ac3La5Nd2, a PBE-relaxed structure gives the theoretical XRD peak list in this record (CuKα).

Structural model:
a = 11.3462 Å, b = 15.0228 Å, c = 10.7983 Å
α = 90.00°, β = 121.30°, γ = 90.00°
Space group C2/c (No. 15)
One atom of each set of equivalent atoms:
Ac: 0.0000 0.0128 0.2500 x4
Ac: 0.1514 0.3738 0.5549 x8
La: 0.0000 0.2334 0.2500 x4
La: 0.0000 0.2618 0.7500 x4
La: 0.0000 0.4736 0.7500 x4
La: 0.2468 0.3729 0.2487 x8
Nd: 0.1579 0.1322 0.0605 x8

Top 10 peaks for 2θ = 15–90°, most intense first:
2θ = 30.14°, intensity 100, (2 4 0); 2θ = 31.54°, intensity 49, (4 0 -2); 2θ = 27.53°, intensity 47, (2 2 1); 2θ = 27.68°, intensity 47, (2 2 -3); 2θ = 30.70°, intensity 28, (0 4 2); 2θ = 31.43°, intensity 23, (0 2 3); 2θ = 46.78°, intensity 20, (0 6 3); 2θ = 33.23°, intensity 17, (2 0 -4); 2θ = 33.03°, intensity 16, (2 0 2); 2θ = 57.90°, intensity 16, (2 4 4)

=====

Entry 7:
For AcLa5Nd3, a PBE-relaxed structure gives the theoretical XRD peak list in this record (CuKα).

Structural model:
a = 16.8831 Å, b = 7.1181 Å, c = 12.0437 Å
α = 90.00°, β = 109.79°, γ = 90.00°
Space group C2/c (No. 15)
One atom of each set of equivalent atoms:
Ac: 0.0000 0.2444 0.2500 x4
La: 0.0000 0.3006 0.7500 x4
La: 0.1078 0.4987 0.5490 x8
La: 0.1748 0.1020 0.8556 x8
Nd: 0.0000 0.0000 0.0000 x4
Nd: 0.2441 0.3947 0.3708 x8

Top 10 peaks for 2θ = 15–90°, most intense first:
2θ = 29.66°, intensity 100, (2 0 -4); 2θ = 29.95°, intensity 36, (5 1 -2); 2θ = 29.51°, intensity 27, (3 1 2); 2θ = 29.75°, intensity 24, (2 2 -2); 2θ = 31.59°, intensity 15, (4 0 2); 2θ = 33.82°, intensity 14, (4 2 0); 2θ = 52.73°, intensity 13, (2 4 0); 2θ = 30.82°, intensity 13, (5 1 0); 2θ = 22.39°, intensity 13, (4 0 0); 2θ = 32.11°, intensity 11, (6 0 -2)

=====

Entry 8:
For Ac12LaNd5, a PBE-relaxed structure gives the theoretical XRD peak list in this record (CuKα).

Structural model:
a = 20.2000 Å, b = 11.7353 Å, c = 6.7322 Å
α = 90.00°, β = 108.82°, γ = 90.00°
Space group C2/m (No. 12)
One atom of each set of equivalent atoms:
Ac: 0.0000 0.1636 0.0000 x4
Ac: 0.0000 0.3356 0.5000 x4
Ac: 0.1667 0.1641 0.4993 x8
Ac: 0.1670 0.3357 0.0001 x8
La: 0.0000 0.5000 0.0000 x2
Nd: 0.0000 0.0000 0.5000 x2
Nd: 0.1666 0.0000 0.9998 x4
Nd: 0.1667 0.5000 0.5012 x4

Top 10 peaks for 2θ = 15–90°, most intense first:
2θ = 28.02°, intensity 100, (6 0 0); 2θ = 32.34°, intensity 35, (3 3 1); 2θ = 55.07°, intensity 31, (9 3 1); 2θ = 46.66°, intensity 25, (9 3 -1); 2θ = 32.71°, intensity 17, (6 0 -2); 2θ = 55.56°, intensity 15, (12 0 -2); 2θ = 57.91°, intensity 14, (12 0 0); 2θ = 46.38°, intensity 13, (6 0 2); 2θ = 75.20°, intensity 13, (15 3 -1); 2θ = 77.23°, intensity 6, (12 6 0)